# Al2BiMoO8
Simulated powder XRD pattern, Cu Kα (λ = 1.5418 Å). Input: a GGA+U-relaxed structure.
Intensities are scaled so that the largest is 100.

Peak list (8 most intense, 10° ≤ 2θ ≤ 80°, low angle first)
d 4.623, I 100
d 3.275, I 53
d 3.263, I 57
d 3.156, I 23
d 2.606, I 85
d 2.272, I 46
d 1.731, I 35
d 1.728, I 39

Structural model:
```
Al2BiMoO8
1.0
3.2629 -3.2746 0.0000
3.2629 3.2746 0.0000
0.0000 0.0000 6.3118
Al Bi Mo O
2 1 1 8
direct
0.0000 0.0000 0.2403 Al
0.0000 0.0000 0.7597 Al
0.5000 0.5000 0.5000 Bi
0.5000 0.5000 0.0000 Mo
0.1679 0.1679 0.5000 O
0.1962 0.1962 0.0000 O
0.2919 0.7081 0.2182 O
0.2919 0.7081 0.7818 O
0.7081 0.2919 0.2182 O
0.7081 0.2919 0.7818 O
0.8038 0.8038 0.0000 O
0.8321 0.8321 0.5000 O
```